Record 1
Calculated X-ray powder pattern
Compound: LiErGeO4
Radiation: Cu Kα X-rays
Structure: a cell relaxed with GGA-PBE
Neutral-atom scattering factors, no anomalous dispersion.

Cell: 6.1227 6.1227 6.1227 Å, 121.30 113.56 94.64°
Fractional coordinates of all 14 atoms:
Li1 0.5000 0.0000 0.0000
Li2 0.5000 0.5000 0.5000
Er1 0.0000 0.0000 0.0000
Er2 0.5000 0.0000 0.5000
Ge1 0.1316 0.3816 0.7500
Ge2 0.8684 0.6184 0.2500
O1 0.2069 0.7339 0.4729
O2 0.2390 0.2661 0.9729
O3 0.2586 0.2598 0.5012
O4 0.2586 0.7574 0.9988
O5 0.7414 0.2426 0.0012
O6 0.7414 0.7402 0.4988
O7 0.7610 0.7339 0.0271
O8 0.7931 0.2661 0.5271

Top 6 peaks for 2θ from 10° to 90°, low angle first:
2θ 18.2, I 48; 2θ 21.4, I 41; 2θ 29.8, I 37; 2θ 32.4, I 100; 2θ 35.7, I 40; 2θ 60.9, I 30

---

Record 2
Calculated X-ray powder pattern
Compound: LiErGe2Rh
Radiation: Cu Kα X-rays
Structure: a cell relaxed with GGA-PBE
Neutral-atom scattering factors, no anomalous dispersion.

Cell: 4.0209 4.0209 10.7856 Å, 90.00 90.00 90.00°
Fractional coordinates of all 10 atoms:
Li1 0.0000 0.0000 0.0000
Li2 0.5000 0.5000 0.5000
Er1 0.0000 0.5000 0.2500
Er2 0.5000 0.0000 0.7500
Ge1 0.0000 0.5000 0.6350
Ge2 0.0000 0.5000 0.8650
Ge3 0.5000 0.0000 0.1350
Ge4 0.5000 0.0000 0.3650
Rh1 0.0000 0.0000 0.5000
Rh2 0.5000 0.5000 0.0000

Top 6 peaks for 2θ from 10° to 90°, low angle first:
2θ 23.6, I 43; 2θ 33.4, I 100; 2θ 35.7, I 100; 2θ 45.1, I 54; 2θ 47.9, I 50; 2θ 57.3, I 42

---

Record 3
Calculated X-ray powder pattern
Compound: Li2ErGeS4
Radiation: Cu Kα X-rays
Structure: a cell relaxed with GGA-PBE
Neutral-atom scattering factors, no anomalous dispersion.

Cell: 6.5015 3.7439 6.5802 Å, 90.00 109.67 90.00°
Fractional coordinates of all 8 atoms:
Li1 0.0000 0.0000 0.0000
Li2 0.0000 0.5000 0.5000
Er1 0.5000 0.0000 0.5000
Ge1 0.5000 0.5000 0.0000
S1 0.2534 0.5000 0.2375
S2 0.2562 0.0000 0.7615
S3 0.7438 0.0000 0.2385
S4 0.7466 0.5000 0.7625

Top 6 peaks for 2θ from 10° to 90°, low angle first:
2θ 14.5, I 100; 2θ 27.8, I 45; 2θ 33.5, I 35; 2θ 33.8, I 70; 2θ 48.1, I 24; 2θ 48.6, I 36

---

Record 4
Calculated X-ray powder pattern
Compound: LiSmErGe
Radiation: Cu Kα X-rays
Structure: a cell relaxed with GGA-PBE
Neutral-atom scattering factors, no anomalous dispersion.

Cell: 7.1372 7.1372 7.1372 Å, 90.00 90.00 90.00°
Fractional coordinates of all 16 atoms:
Li1 0.0000 0.0000 0.0000
Li2 0.0000 0.5000 0.5000
Li3 0.5000 0.0000 0.5000
Li4 0.5000 0.5000 0.0000
Sm1 0.2500 0.2500 0.2500
Sm2 0.2500 0.7500 0.7500
Sm3 0.7500 0.2500 0.7500
Sm4 0.7500 0.7500 0.2500
Er1 0.2500 0.2500 0.7500
Er2 0.2500 0.7500 0.2500
Er3 0.7500 0.2500 0.2500
Er4 0.7500 0.7500 0.7500
Ge1 0.0000 0.0000 0.5000
Ge2 0.0000 0.5000 0.0000
Ge3 0.5000 0.0000 0.0000
Ge4 0.5000 0.5000 0.5000

Top 6 peaks for 2θ from 10° to 90°, low angle first:
2θ 25.0, I 44; 2θ 35.6, I 100; 2θ 51.2, I 18; 2θ 57.8, I 18; 2θ 63.9, I 36; 2θ 86.2, I 16

---

Record 5
Calculated X-ray powder pattern
Compound: Er2MgGe3Rh4
Radiation: Cu Kα X-rays
Structure: a cell relaxed with GGA-PBE
Neutral-atom scattering factors, no anomalous dispersion.

Cell: 4.0648 4.0648 10.8764 Å, 90.00 90.00 90.00°
Fractional coordinates of all 10 atoms:
Er1 0.0000 0.5000 0.2395
Er2 0.5000 0.0000 0.7605
Mg1 0.0000 0.0000 0.5000
Ge1 0.0000 0.5000 0.8716
Ge2 0.5000 0.0000 0.1284
Ge3 0.5000 0.5000 0.5000
Rh1 0.0000 0.0000 0.0000
Rh2 0.0000 0.5000 0.6482
Rh3 0.5000 0.0000 0.3518
Rh4 0.5000 0.5000 0.0000

Top 6 peaks for 2θ from 10° to 90°, low angle first:
2θ 33.1, I 59; 2θ 35.3, I 100; 2θ 44.6, I 52; 2θ 47.4, I 36; 2θ 56.6, I 25; 2θ 67.1, I 25

---

Record 6
Calculated X-ray powder pattern
Compound: Er6MgGe2S14
Radiation: Cu Kα X-rays
Structure: a cell relaxed with GGA-PBE
Neutral-atom scattering factors, no anomalous dispersion.

Cell: 9.7018 9.7018 5.9247 Å, 90.00 90.00 120.00°
Fractional coordinates of all 23 atoms:
Er1 0.0247 0.4763 0.0000
Er2 0.3041 0.1907 0.4918
Er3 0.4516 0.9753 0.0000
Er4 0.5237 0.5484 0.0000
Er5 0.8093 0.1134 0.4918
Er6 0.8866 0.6959 0.4918
Mg1 0.6667 0.3333 0.6832
Ge1 0.0000 0.0000 0.0672
Ge2 0.3333 0.6667 0.5769
S1 0.0000 0.0000 0.6929
S2 0.0926 0.2389 0.2304
S3 0.1463 0.9074 0.2304
S4 0.1887 0.7612 0.7391
S5 0.2388 0.4275 0.7391
S6 0.3333 0.6667 0.2014
S7 0.4146 0.2284 0.9185
S8 0.5173 0.0807 0.4354
S9 0.5635 0.4827 0.4354
S10 0.5725 0.8113 0.7391
S11 0.7611 0.8537 0.2304
S12 0.7716 0.1862 0.9185
S13 0.8138 0.5854 0.9185
S14 0.9193 0.4365 0.4354

Top 6 peaks for 2θ from 10° to 90°, low angle first:
2θ 18.3, I 21; 2θ 21.1, I 30; 2θ 26.0, I 100; 2θ 35.5, I 26; 2θ 37.1, I 66; 2θ 41.7, I 39

---

Record 7
Calculated X-ray powder pattern
Compound: Er2MnGe4
Radiation: Cu Kα X-rays
Structure: a cell relaxed with GGA-PBE
Neutral-atom scattering factors, no anomalous dispersion.

Cell: 4.1674 4.2351 15.4789 Å, 90.00 90.00 90.00°
Fractional coordinates of all 14 atoms:
Er1 0.0000 0.0000 0.0000
Er2 0.0000 0.5000 0.5000
Er3 0.5000 0.0000 0.2052
Er4 0.5000 0.5000 0.7052
Mn1 0.0000 0.0000 0.7979
Mn2 0.0000 0.5000 0.2979
Ge1 0.0000 0.0000 0.3622
Ge2 0.0000 0.0000 0.6464
Ge3 0.0000 0.5000 0.1464
Ge4 0.0000 0.5000 0.8622
Ge5 0.5000 0.0000 0.5358
Ge6 0.5000 0.0000 0.8610
Ge7 0.5000 0.5000 0.0358
Ge8 0.5000 0.5000 0.3610

Top 6 peaks for 2θ from 10° to 90°, low angle first:
2θ 24.3, I 12; 2θ 34.8, I 100; 2θ 35.9, I 17; 2θ 41.2, I 14; 2θ 42.7, I 19; 2θ 43.4, I 18

---

Record 8
Calculated X-ray powder pattern
Compound: Er4MnGe8
Radiation: Cu Kα X-rays
Structure: a cell relaxed with GGA-PBE
Neutral-atom scattering factors, no anomalous dispersion.

Cell: 3.9860 4.1469 15.8825 Å, 90.00 90.00 90.00°
Fractional coordinates of all 13 atoms:
Er1 0.0000 0.0000 0.0000
Er2 0.0000 0.5000 0.4896
Er3 0.5000 0.0000 0.7883
Er4 0.5000 0.5000 0.2877
Mn1 0.0000 0.5000 0.7034
Ge1 0.0000 0.0000 0.3327
Ge2 0.0000 0.0000 0.6295
Ge3 0.0000 0.5000 0.1412
Ge4 0.0000 0.5000 0.8534
Ge5 0.5000 0.0000 0.1464
Ge6 0.5000 0.0000 0.4414
Ge7 0.5000 0.5000 0.6232
Ge8 0.5000 0.5000 0.9592

Top 6 peaks for 2θ from 10° to 90°, low angle first:
2θ 25.0, I 14; 2θ 33.9, I 13; 2θ 35.6, I 100; 2θ 40.9, I 12; 2θ 43.7, I 16; 2θ 45.5, I 15

---

Record 9
Calculated X-ray powder pattern
Compound: ErMn6Sn4Ge2
Radiation: Cu Kα X-rays
Structure: a cell relaxed with GGA-PBE
Neutral-atom scattering factors, no anomalous dispersion.

Cell: 5.3362 5.3362 8.6817 Å, 90.00 90.00 120.00°
Fractional coordinates of all 13 atoms:
Er1 0.0000 0.0000 0.0000
Mn1 0.0000 0.5000 0.2325
Mn2 0.0000 0.5000 0.7675
Mn3 0.5000 0.0000 0.2325
Mn4 0.5000 0.0000 0.7675
Mn5 0.5000 0.5000 0.2325
Mn6 0.5000 0.5000 0.7675
Sn1 0.0000 0.0000 0.3335
Sn2 0.0000 0.0000 0.6665
Sn3 0.3333 0.6667 0.5000
Sn4 0.6667 0.3333 0.5000
Ge1 0.3333 0.6667 0.0000
Ge2 0.6667 0.3333 0.0000

Top 6 peaks for 2θ from 10° to 90°, low angle first:
2θ 33.6, I 100; 2θ 36.6, I 80; 2θ 39.0, I 42; 2θ 39.7, I 80; 2θ 44.4, I 44; 2θ 62.1, I 36

---

Record 10
Calculated X-ray powder pattern
Compound: NaErGe2O6
Radiation: Cu Kα X-rays
Structure: a cell relaxed with GGA-PBE
Neutral-atom scattering factors, no anomalous dispersion.

Cell: 7.1531 7.1531 5.7339 Å, 102.79 102.79 84.56°
Fractional coordinates of all 20 atoms:
Na1 0.1905 0.8095 0.7500
Na2 0.8095 0.1905 0.2500
Er1 0.3932 0.6068 0.2500
Er2 0.6068 0.3932 0.7500
Ge1 0.1223 0.2978 0.7469
Ge2 0.2978 0.1223 0.2469
Ge3 0.7022 0.8777 0.7531
Ge4 0.8777 0.7022 0.2531
O1 0.1116 0.6116 0.3277
O2 0.1296 0.1548 0.9716
O3 0.1548 0.1296 0.4716
O4 0.3054 0.4636 0.8534
O5 0.3884 0.8884 0.1723
O6 0.4636 0.3054 0.3534
O7 0.5364 0.6946 0.6466
O8 0.6116 0.1116 0.8277
O9 0.6946 0.5364 0.1466
O10 0.8452 0.8704 0.5284
O11 0.8704 0.8452 0.0284
O12 0.8884 0.3884 0.6723

Top 6 peaks for 2θ from 10° to 90°, low angle first:
2θ 12.7, I 49; 2θ 18.4, I 46; 2θ 27.4, I 100; 2θ 28.1, I 49; 2θ 32.7, I 38; 2θ 33.2, I 50

---

Record 11
Calculated X-ray powder pattern
Compound: Nd3Er3Ge4
Radiation: Cu Kα X-rays
Structure: a cell relaxed with GGA-PBE
Neutral-atom scattering factors, no anomalous dispersion.

Cell: 4.3628 7.6427 7.6427 Å, 90.13 90.00 90.00°
Fractional coordinates of all 10 atoms:
Nd1 0.0000 0.0000 0.0000
Nd2 0.0000 0.4957 0.8457
Nd3 0.0000 0.8457 0.4957
Er1 0.0000 0.3464 0.3464
Er2 0.5000 0.1721 0.6727
Er3 0.5000 0.6727 0.1721
Ge1 0.5000 0.0558 0.2982
Ge2 0.5000 0.2982 0.0558
Ge3 0.5000 0.5419 0.5419
Ge4 0.5000 0.7945 0.7945

Top 6 peaks for 2θ from 10° to 90°, low angle first:
2θ 26.3, I 20; 2θ 31.1, I 67; 2θ 33.3, I 100; 2θ 37.2, I 50; 2θ 41.4, I 25; 2θ 56.9, I 29

---

Record 12
Calculated X-ray powder pattern
Compound: NdErGe2Pd5
Radiation: Cu Kα X-rays
Structure: a cell relaxed with GGA-PBE
Neutral-atom scattering factors, no anomalous dispersion.

Cell: 4.2723 4.2723 9.1140 Å, 90.00 90.00 90.00°
Fractional coordinates of all 9 atoms:
Nd1 0.0000 0.0000 0.0000
Er1 0.0000 0.0000 0.5000
Ge1 0.5000 0.5000 0.3665
Ge2 0.5000 0.5000 0.6335
Pd1 0.0000 0.5000 0.2303
Pd2 0.0000 0.5000 0.7697
Pd3 0.5000 0.0000 0.2303
Pd4 0.5000 0.0000 0.7697
Pd5 0.5000 0.5000 0.0000

Top 6 peaks for 2θ from 10° to 90°, low angle first:
2θ 35.7, I 100; 2θ 42.3, I 46; 2θ 59.3, I 15; 2θ 61.4, I 15; 2θ 69.2, I 13; 2θ 73.0, I 24